[1]
The following is a computed powder diffractogram of TlAg5S4. It was derived from a structure optimized by DFT (GGA-PBE), using Cu Kα, 1.54184 Å.

Crystal structure
abc: 8.366 8.691 6.218
angles: 90.00 90.00 90.00
Space group Pmmn (No. 59, origin choice 2)
Unique sites:
Tl: 0.250 0.250 0.238
Ag: 0.064 0.071 0.714
Ag: 0.250 0.750 0.217
S: 0.031 0.750 0.570
S: 0.250 0.001 0.008

Largest 8 diffraction maxima, by angle, 10° ≤ 2θ ≤ 90°:
| 2θ (°) | d [Å] | I_rel |
| --- | --- | --- |
| 14.70 | 6.027 | 27 |
| 27.21 | 3.277 | 100 |
| 28.71 | 3.109 | 47 |
| 29.64 | 3.014 | 35 |
| 34.14 | 2.626 | 50 |
| 35.27 | 2.545 | 83 |
| 41.74 | 2.164 | 64 |
| 54.39 | 1.687 | 23 |

[2]
The following is a computed powder diffractogram of Ho12TlRu6. It was derived from a structure optimized by DFT (GGA-PBE), using Cu Kα, 1.54184 Å.

Crystal structure
abc: 9.794 9.794 9.794
angles: 90.00 90.00 90.00
Space group Im-3 (No. 204)
Unique sites:
Ho: 0.000 0.195 0.296
Tl: 0.000 0.000 0.000
Ru: 0.000 0.375 0.500

Largest 8 diffraction maxima, by angle, 10° ≤ 2θ ≤ 90°:
| 2θ (°) | d [Å] | I_rel |
| --- | --- | --- |
| 28.83 | 3.097 | 18 |
| 31.65 | 2.827 | 46 |
| 34.26 | 2.618 | 100 |
| 36.70 | 2.449 | 23 |
| 47.33 | 1.921 | 24 |
| 54.64 | 1.680 | 25 |
| 58.05 | 1.589 | 33 |
| 67.64 | 1.385 | 20 |